Structure and simulated PXRD pattern of CsAsPIrO (the PBE geometry in Alexandria; λ = 1.5418 Å (Cu Kα)).
Intensities are scaled so that the largest is 100.

Crystal structure
```
data_CsAsPIrO
_chemical_formula_sum 'Cs2 As2 P2 Ir2 O2'
_cell_length_a 6.876
_cell_length_b 3.943
_cell_length_c 8.618
_cell_angle_alpha 90.00
_cell_angle_beta 105.54
_cell_angle_gamma 90.00
_space_group_name_H-M_alt 'C 1 m 1'
_space_group_IT_number 8
loop_
_space_group_symop_operation_xyz
'x,y,z'
'x,-y,z'
'x+1/2,y+1/2,z'
'x+1/2,-y+1/2,z'
loop_
_atom_site_label
_atom_site_fract_x
_atom_site_fract_y
_atom_site_fract_z
Cs1 0.000 0.000 0.000
As1 0.306 0.500 0.414
P1 0.047 0.500 0.640
Ir1 0.187 0.000 0.557
O1 0.237 0.500 0.205
```

Largest 10 diffraction maxima, low angle first, 2θ = 5–70°:
2theta	intensity
10.7	50
21.4	55
26.2	16
26.3	33
29.8	19
31.7	100
45.0	16
45.8	32
48.2	34
51.1	22